Entry 1:
# Dy3MgPb2C
Computed X-ray diffraction stick pattern, Cu Ka. Input: a DFT-relaxed cell (GGA-PBE, Alexandria).
Neutral-atom scattering factors, no anomalous dispersion.

Atomic structure:
a = 4.469 Å, b = 4.857 Å, c = 16.176 Å
α = 90.00°, β = 90.00°, γ = 90.00°
Atoms (fractional coordinates):
Dy (0.000, 0.000, 0.000)
Dy (0.000, 0.500, 0.154)
Dy (0.000, 0.500, 0.846)
Dy (0.500, 0.000, 0.346)
Dy (0.500, 0.000, 0.654)
Dy (0.500, 0.500, 0.500)
Mg (0.000, 0.000, 0.500)
Mg (0.500, 0.500, 0.000)
Pb (0.000, 0.500, 0.355)
Pb (0.000, 0.500, 0.645)
Pb (0.500, 0.000, 0.145)
Pb (0.500, 0.000, 0.855)
C (0.000, 0.500, 0.000)
C (0.500, 0.000, 0.500)

Main lines, in order of falling intensity (10 to 80 degrees two-theta):
| Position (°2θ) | Rel. int. |
| --- | --- |
| 35.17 | 100 |
| 27.11 | 50 |
| 29.32 | 41 |
| 37.02 | 31 |
| 33.23 | 28 |
| 40.36 | 25 |

Entry 2:
# Na2TaSbO6
Computed X-ray diffraction stick pattern, Cu Ka. Input: a DFT-relaxed cell (GGA-PBE, Alexandria).
Neutral-atom scattering factors, no anomalous dispersion.

Atomic structure:
a = 5.600 Å, b = 5.600 Å, c = 3.977 Å
α = 90.00°, β = 90.00°, γ = 90.00°
Atoms (fractional coordinates):
Na (0.000, 0.500, 0.000)
Na (0.500, 0.000, 0.000)
Ta (0.000, 0.000, 0.500)
Sb (0.500, 0.500, 0.500)
O (0.000, 0.000, 0.000)
O (0.250, 0.250, 0.500)
O (0.250, 0.750, 0.500)
O (0.500, 0.500, 0.000)
O (0.750, 0.250, 0.500)
O (0.750, 0.750, 0.500)

Main lines, in order of falling intensity (10 to 80 degrees two-theta):
| Position (°2θ) | Rel. int. |
| --- | --- |
| 31.92 | 100 |
| 22.45 | 67 |
| 22.35 | 34 |
| 51.59 | 28 |
| 56.92 | 26 |
| 45.83 | 24 |

Entry 3:
# CeSmAs2O8
Computed X-ray diffraction stick pattern, Cu Ka. Input: a DFT-relaxed cell (GGA-PBE, Alexandria).
Neutral-atom scattering factors, no anomalous dispersion.

Atomic structure:
a = 6.888 Å, b = 6.888 Å, c = 6.888 Å
α = 135.92°, β = 135.92°, γ = 64.10°
Atoms (fractional coordinates):
Ce (0.000, 0.000, 0.000)
Sm (0.250, 0.750, 0.500)
As (0.500, 0.500, 0.000)
As (0.750, 0.250, 0.500)
O (0.284, 0.670, 0.112)
O (0.330, 0.442, 0.614)
O (0.424, 0.030, 0.109)
O (0.558, 0.173, 0.888)
O (0.684, 0.576, 0.605)
O (0.827, 0.716, 0.386)
O (0.921, 0.316, 0.891)
O (0.970, 0.079, 0.395)

Main lines, in order of falling intensity (10 to 80 degrees two-theta):
| Position (°2θ) | Rel. int. |
| --- | --- |
| 28.82 | 100 |
| 46.95 | 29 |
| 58.64 | 28 |
| 34.71 | 21 |
| 53.33 | 18 |
| 30.63 | 17 |

Entry 4:
# CsInSe
Computed X-ray diffraction stick pattern, Cu Ka. Input: a DFT-relaxed cell (GGA-PBE, Alexandria).
Neutral-atom scattering factors, no anomalous dispersion.

Atomic structure:
a = 7.041 Å, b = 8.848 Å, c = 7.086 Å
α = 90.00°, β = 90.00°, γ = 90.00°
Atoms (fractional coordinates):
Cs (0.125, 0.078, 0.250)
Cs (0.125, 0.422, 0.750)
Cs (0.875, 0.578, 0.250)
Cs (0.875, 0.922, 0.750)
In (0.380, 0.750, 0.000)
In (0.380, 0.750, 0.500)
In (0.620, 0.250, 0.000)
In (0.620, 0.250, 0.500)
Se (0.373, 0.081, 0.750)
Se (0.373, 0.419, 0.250)
Se (0.627, 0.581, 0.750)
Se (0.627, 0.919, 0.250)

Main lines, in order of falling intensity (10 to 80 degrees two-theta):
| Position (°2θ) | Rel. int. |
| --- | --- |
| 30.09 | 100 |
| 29.98 | 68 |
| 32.37 | 65 |
| 32.93 | 60 |
| 26.92 | 60 |
| 62.56 | 37 |